Entry 1:
Theoretical PXRD pattern of K2Cd9In3 for Cu Kα X-rays, from a cell relaxed with GGA-PBE.
Peak positions follow from Bragg's law for the DFT cell and can differ from measured ones.

Principal peaks in the range 10 to 90 degrees two-theta, in order of rising 2θ:
2θ/deg  d [Å]  I/Imax
14.02  6.318  41
32.03  2.794  37
32.23  2.777  100
34.18  2.624  86
34.75  2.582  47
34.95  2.567  34
38.28  2.351  60
38.80  2.321  27
39.49  2.282  36
60.06  1.540  25

Cell: 8.994 8.994 10.595 Å, 90.00 90.00 61.06°
Positions (direct):
K (0.005, 0.679, 0.750)
K (0.321, 0.995, 0.750)
K (0.679, 0.005, 0.250)
K (0.995, 0.321, 0.250)
Cd (0.019, 0.656, 0.091)
Cd (0.019, 0.656, 0.409)
Cd (0.149, 0.851, 0.250)
Cd (0.340, 0.660, 0.550)
Cd (0.340, 0.660, 0.950)
Cd (0.344, 0.981, 0.091)
Cd (0.344, 0.981, 0.409)
Cd (0.354, 0.453, 0.250)
Cd (0.453, 0.354, 0.750)
Cd (0.547, 0.646, 0.250)
Cd (0.646, 0.547, 0.750)
Cd (0.656, 0.019, 0.591)
Cd (0.656, 0.019, 0.909)
Cd (0.660, 0.340, 0.050)
Cd (0.660, 0.340, 0.450)
Cd (0.851, 0.149, 0.750)
Cd (0.981, 0.344, 0.591)
Cd (0.981, 0.344, 0.909)
In (0.000, 0.000, 0.000)
In (0.000, 0.000, 0.500)
In (0.313, 0.313, 0.000)
In (0.313, 0.313, 0.500)
In (0.687, 0.687, 0.000)
In (0.687, 0.687, 0.500)

Entry 2:
Theoretical PXRD pattern of K2Mg3CdIn12 for Cu Kα X-rays, from a cell relaxed with GGA-PBE.
Peak positions follow from Bragg's law for the DFT cell and can differ from measured ones.

Principal peaks in the range 10 to 90 degrees two-theta, in order of rising 2θ:
2θ/deg  d [Å]  I/Imax
14.54  6.091  38
15.64  5.666  47
17.14  5.175  43
24.96  3.568  39
29.33  3.045  100
34.67  2.587  54
36.83  2.440  36
38.24  2.354  54
44.63  2.030  42
48.32  1.883  48

Cell: 12.137 12.137 12.137 Å, 36.16 36.16 36.16°
Positions (direct):
K (0.148, 0.148, 0.148)
K (0.852, 0.852, 0.852)
Mg (0.000, 0.500, 0.500)
Mg (0.500, 0.000, 0.500)
Mg (0.500, 0.500, 0.000)
Cd (0.500, 0.500, 0.500)
In (0.084, 0.084, 0.683)
In (0.084, 0.683, 0.084)
In (0.137, 0.578, 0.578)
In (0.317, 0.916, 0.916)
In (0.422, 0.422, 0.863)
In (0.422, 0.863, 0.422)
In (0.578, 0.137, 0.578)
In (0.578, 0.578, 0.137)
In (0.683, 0.084, 0.084)
In (0.863, 0.422, 0.422)
In (0.916, 0.317, 0.916)
In (0.916, 0.916, 0.317)